For Dy2MgMn4O8, a structure optimized by DFT (GGA+U) gives the calculated X-ray powder pattern in this record (Cu Kα).

Main lines, low angle first (2θ from 10° to 90°):
- 2θ = 16.21°, I 175
- 2θ = 25.64°, I 1000
- 2θ = 27.82°, I 548
- 2θ = 28.49°, I 380
- 2θ = 32.95°, I 836
- 2θ = 43.34°, I 306
- 2θ = 48.75°, I 362
- 2θ = 52.68°, I 316
- 2θ = 53.35°, I 253
- 2θ = 58.96°, I 174

Atomic structure:
a b c (Å): 6.2658 6.2658 7.1371
angles (deg): 116.01 116.01 89.95
Sites, in units of the cell vectors:
Dy (0.0000, 0.0000, 0.0000)
Dy (0.7528, 0.2472, 0.5000)
Mg (0.5040, 0.4960, 0.0000)
Mn (0.3269, 0.0709, 0.6501)
Mn (0.3301, 0.5835, 0.6564)
Mn (0.4165, 0.6699, 0.3436)
Mn (0.9291, 0.6731, 0.3499)
O (0.1257, 0.8654, 0.7290)
O (0.1346, 0.8743, 0.2710)
O (0.1367, 0.3960, 0.2741)
O (0.1521, 0.3713, 0.7440)
O (0.5960, 0.3698, 0.7419)
O (0.6040, 0.8633, 0.7259)
O (0.6287, 0.8479, 0.2560)
O (0.6302, 0.4040, 0.2581)